Starting from a GGA-PBE-relaxed structure, the powder diffraction line list of Sm6Os2Rh was simulated for Cu Kα X-rays.
No peak broadening, texture or thermal motion is included.

Peak list (10 most intense, 10 to 90 degrees two-theta, in order of rising 2θ)
| Position (°2θ) | I_rel | hkl |
| --- | --- | --- |
| 28.81 | 42 | 1 2 -2 |
| 28.94 | 43 | 2 1 -2 |
| 30.19 | 64 | 0 2 2 |
| 30.50 | 52 | 1 0 2 |
| 30.62 | 70 | 2 1 -3 |
| 32.80 | 100 | 1 2 1 |
| 33.34 | 55 | 1 1 -4 |
| 36.79 | 82 | 0 2 3 |
| 38.31 | 55 | 1 3 -1 |
| 46.45 | 48 | 3 1 -5 |

Structural model:
Unit cell a=6.768 b=7.516 c=11.652 alpha=90.00 beta=124.13 gamma=90.00
Fractional coordinates of all 18 atoms:
Sm 0.079 0.052 0.241
Sm 0.079 0.448 0.741
Sm 0.228 0.671 0.072
Sm 0.228 0.829 0.572
Sm 0.396 0.172 0.068
Sm 0.396 0.328 0.568
Sm 0.604 0.672 0.432
Sm 0.604 0.828 0.932
Sm 0.772 0.171 0.428
Sm 0.772 0.329 0.928
Sm 0.921 0.552 0.259
Sm 0.921 0.948 0.759
Os 0.298 0.117 0.762
Os 0.298 0.383 0.262
Os 0.702 0.617 0.738
Os 0.702 0.883 0.238
Rh 0.500 0.000 0.500
Rh 0.500 0.500 0.000